Calculated XRD peak list of Ag12Sb4Se13 for Cu Kα, 1.54184 Å, from a structure optimized by DFT (PBE).

Lattice parameters (Å, degrees): 10.087 10.087 10.087 109.47 109.47 109.47
Fractional coordinates of all 29 atoms:
Ag  0.000  0.222  0.222
Ag  0.000  0.778  0.778
Ag  0.222  0.000  0.222
Ag  0.222  0.222  0.000
Ag  0.250  0.500  0.750
Ag  0.250  0.750  0.500
Ag  0.500  0.250  0.750
Ag  0.500  0.750  0.250
Ag  0.750  0.250  0.500
Ag  0.750  0.500  0.250
Ag  0.778  0.000  0.778
Ag  0.778  0.778  0.000
Sb  0.000  0.000  0.533
Sb  0.000  0.533  0.000
Sb  0.467  0.467  0.467
Sb  0.533  0.000  0.000
Se  0.000  0.000  0.000
Se  0.000  0.237  0.482
Se  0.000  0.482  0.237
Se  0.237  0.000  0.482
Se  0.237  0.482  0.000
Se  0.245  0.763  0.763
Se  0.482  0.000  0.237
Se  0.482  0.237  0.000
Se  0.518  0.518  0.755
Se  0.518  0.755  0.518
Se  0.755  0.518  0.518
Se  0.763  0.245  0.763
Se  0.763  0.763  0.245

Top 6 peaks for 5° ≤ 2θ ≤ 70°, low angle first:
| 2θ/deg | I_rel |
| --- | --- |
| 26.51 | 100 |
| 30.70 | 11 |
| 42.51 | 9 |
| 43.98 | 69 |
| 52.08 | 36 |
| 63.94 | 9 |

Calculated XRD peak list of Er3Mg3GaIr2 for Cu Kα, 1.54184 Å, from a structure optimized by DFT (PBE).

Lattice parameters (Å, degrees): 7.245 7.245 4.120 90.00 90.00 120.00
Fractional coordinates of all 9 atoms:
Er  0.000  0.580  0.000
Er  0.420  0.420  0.000
Er  0.580  0.000  0.000
Mg  0.000  0.250  0.500
Mg  0.250  0.000  0.500
Mg  0.750  0.750  0.500
Ga  0.000  0.000  0.000
Ir  0.333  0.667  0.500
Ir  0.667  0.333  0.500

Top 6 peaks for 5° ≤ 2θ ≤ 70°, low angle first:
| 2θ/deg | I_rel |
| --- | --- |
| 14.12 | 48 |
| 24.57 | 33 |
| 32.92 | 100 |
| 35.98 | 90 |
| 43.26 | 26 |
| 69.10 | 28 |

Calculated XRD peak list of Sr2Sm2SbAsO for Cu Kα, 1.54184 Å, from a structure optimized by DFT (PBE).

Lattice parameters (Å, degrees): 9.305 9.305 9.305 150.81 150.81 41.75
Fractional coordinates of all 7 atoms:
Sr  0.000  0.000  0.000
Sr  0.355  0.355  0.000
Sm  0.188  0.688  0.500
Sm  0.688  0.188  0.500
Sb  0.554  0.554  0.000
As  0.815  0.815  0.000
O  0.203  0.203  0.000

Top 6 peaks for 5° ≤ 2θ ≤ 70°, low angle first:
| 2θ/deg | I_rel |
| --- | --- |
| 10.17 | 59 |
| 28.82 | 92 |
| 30.86 | 30 |
| 34.01 | 100 |
| 38.40 | 62 |
| 50.04 | 31 |

Calculated XRD peak list of Cu2PdPt3 for Cu Kα, 1.54184 Å, from a structure optimized by DFT (PBE).

Lattice parameters (Å, degrees): 2.750 2.750 13.251 90.00 90.00 120.00
Fractional coordinates of all 6 atoms:
Cu  0.333  0.667  0.161
Cu  0.667  0.333  0.839
Pd  0.000  0.000  0.500
Pt  0.000  0.000  0.000
Pt  0.333  0.667  0.678
Pt  0.667  0.333  0.322

Top 6 peaks for 5° ≤ 2θ ≤ 70°, low angle first:
| 2θ/deg | I_rel |
| --- | --- |
| 20.10 | 28 |
| 38.40 | 19 |
| 40.23 | 100 |
| 40.86 | 29 |
| 46.99 | 62 |
| 68.19 | 21 |